(1)
The following is a theoretical powder diffractogram of Pu4SnPd4. It was derived from a cell relaxed with GGA-PBE, using λ = 1.5418 Å (Cu Kα).
Neutral-atom scattering factors, no anomalous dispersion.

Structural model:
abc: 6.2602 6.2602 10.3577
angles: 90.00 90.00 90.00
Fractional coordinates of all 18 atoms:
Pu 0.0083 0.2500 0.0278
Pu 0.2500 0.0083 0.5278
Pu 0.2500 0.4917 0.5278
Pu 0.4917 0.2500 0.0278
Pu 0.5083 0.7500 0.9722
Pu 0.7500 0.5083 0.4722
Pu 0.7500 0.9917 0.4722
Pu 0.9917 0.7500 0.9722
Sn 0.2500 0.7500 0.2500
Sn 0.7500 0.2500 0.7500
Pd 0.0359 0.2500 0.3084
Pd 0.2500 0.0359 0.8084
Pd 0.2500 0.4641 0.8084
Pd 0.4641 0.2500 0.3084
Pd 0.5359 0.7500 0.6916
Pd 0.7500 0.5359 0.1916
Pd 0.7500 0.9641 0.1916
Pd 0.9641 0.7500 0.6916

Principal peaks in the range 15 to 90 degrees two-theta, sorted by position:
17.1°, rel. 24
29.8°, rel. 86
33.1°, rel. 42
34.6°, rel. 19
37.6°, rel. 27
38.8°, rel. 100
40.8°, rel. 45
44.5°, rel. 25
59.0°, rel. 21
72.9°, rel. 28

---

(2)
The following is a theoretical powder diffractogram of ZnGeSb2Os. It was derived from a cell relaxed with GGA-PBE, using λ = 1.5418 Å (Cu Kα).
Neutral-atom scattering factors, no anomalous dispersion.

Structural model:
abc: 5.2318 5.2318 4.7276
angles: 90.00 90.00 90.00
Fractional coordinates of all 5 atoms:
Zn 0.0000 0.0000 0.0000
Ge 0.5000 0.5000 0.0000
Sb 0.0000 0.5000 0.5000
Sb 0.5000 0.0000 0.5000
Os 0.5000 0.5000 0.5000

Principal peaks in the range 15 to 90 degrees two-theta, sorted by position:
16.9°, rel. 61
18.8°, rel. 53
25.4°, rel. 43
30.7°, rel. 34
34.3°, rel. 100
38.1°, rel. 38
39.4°, rel. 33
49.3°, rel. 36
52.2°, rel. 60
63.9°, rel. 32

---

(3)
The following is a theoretical powder diffractogram of GdAl10Ru2. It was derived from a cell relaxed with GGA-PBE, using λ = 1.5418 Å (Cu Kα).
Neutral-atom scattering factors, no anomalous dispersion.

Structural model:
abc: 6.8554 6.8554 9.1619
angles: 90.00 90.00 96.80
Fractional coordinates of all 26 atoms:
Gd 0.1262 0.8738 0.7500
Gd 0.8738 0.1262 0.2500
Al 0.1414 0.4121 0.7500
Al 0.1574 0.8426 0.1005
Al 0.1574 0.8426 0.3995
Al 0.2194 0.4800 0.2500
Al 0.2254 0.2254 0.0000
Al 0.2254 0.2254 0.5000
Al 0.3769 0.6231 0.5487
Al 0.3769 0.6231 0.9513
Al 0.4121 0.1414 0.2500
Al 0.4800 0.2194 0.7500
Al 0.5200 0.7806 0.2500
Al 0.5879 0.8586 0.7500
Al 0.6231 0.3769 0.0487
Al 0.6231 0.3769 0.4513
Al 0.7746 0.7746 0.0000
Al 0.7746 0.7746 0.5000
Al 0.7806 0.5200 0.7500
Al 0.8426 0.1574 0.6005
Al 0.8426 0.1574 0.8995
Al 0.8586 0.5879 0.2500
Ru 0.0000 0.5000 0.0000
Ru 0.0000 0.5000 0.5000
Ru 0.5000 0.0000 0.0000
Ru 0.5000 0.0000 0.5000

Principal peaks in the range 15 to 90 degrees two-theta, sorted by position:
16.2°, rel. 28
17.3°, rel. 37
26.1°, rel. 32
27.6°, rel. 55
28.0°, rel. 32
34.2°, rel. 32
36.6°, rel. 28
39.3°, rel. 33
39.6°, rel. 74
40.4°, rel. 100